[1]
Diffraction record for ZrTi4Be5. The powder diffractogram is computed, not measured: it uses a structure optimized by DFT (GGA-PBE) and Cu Kα (λ = 1.5418 Å).

Crystal structure
Cell: 2.981 2.981 14.873 Å, 90.00 90.00 90.00°
Element x y z (fractional)
Zr 0.000 0.000 0.000
Ti 0.000 0.000 0.209
Ti 0.000 0.000 0.404
Ti 0.000 0.000 0.596
Ti 0.000 0.000 0.791
Be 0.500 0.500 0.116
Be 0.500 0.500 0.306
Be 0.500 0.500 0.500
Be 0.500 0.500 0.694
Be 0.500 0.500 0.884

Top 8 peaks for 2θ from 10° to 90°, low angle first:
2theta	intensity
29.99	93.1
42.93	100.0
53.26	22.3
62.28	10.5
70.67	17.7
70.79	8.2
78.63	19.7
78.74	8.7

[2]
Diffraction record for Be12V. The powder diffractogram is computed, not measured: it uses a structure optimized by DFT (GGA-PBE) and Cu Kα (λ = 1.5418 Å).

Crystal structure
Cell: 5.504 5.504 5.504 Å, 98.17 98.17 135.70°
Element x y z (fractional)
Be 0.000 0.000 0.500
Be 0.000 0.212 0.212
Be 0.000 0.500 0.000
Be 0.000 0.788 0.788
Be 0.151 0.500 0.651
Be 0.212 0.000 0.212
Be 0.500 0.000 0.000
Be 0.500 0.151 0.651
Be 0.500 0.500 0.500
Be 0.500 0.849 0.349
Be 0.788 0.000 0.788
Be 0.849 0.500 0.349
V 0.500 0.500 0.000

Top 8 peaks for 2θ from 10° to 90°, low angle first:
2theta	intensity
17.39	90.8
24.74	100.0
35.24	98.6
39.53	31.6
43.54	58.7
50.67	94.2
50.76	40.4
74.49	21.8